# 1
Structure and simulated X-ray powder pattern of CsCoIrS3 (a PBE-relaxed structure; a wavelength of 1.5418 Å).
Lines closer than 0.1° are merged.

Most intense lines, 15 to 90 degrees two-theta, in order of rising 2θ:
(2 0 -2), 22.3°, rel. 33; (2 0 2), 24.9°, rel. 54; (3 1 0), 29.0°, rel. 60; (1 1 -2), 29.9°, rel. 100; (4 0 -2), 30.3°, rel. 30; (1 1 2), 31.0°, rel. 40; (6 0 0), 38.1°, rel. 29; (0 2 0), 44.6°, rel. 32; (3 1 -4), 48.6°, rel. 28; (7 1 1), 52.6°, rel. 29

```
data_CsCoIrS3
_chemical_formula_sum 'Cs4 Co4 Ir4 S12'
_cell_length_a 14.264
_cell_length_b 4.063
_cell_length_c 8.963
_cell_angle_alpha 90.00
_cell_angle_beta 96.87
_cell_angle_gamma 90.00
_symmetry_space_group_name_H-M 'C 1 2/m 1'
_symmetry_Int_Tables_number 12
loop_
_symmetry_equiv_pos_as_xyz
'x,y,z'
'-x,-y,-z'
'-x,y,-z'
'x,-y,z'
'x+1/2,y+1/2,z'
'-x+1/2,-y+1/2,-z'
'-x+1/2,y+1/2,-z'
'x+1/2,-y+1/2,z'
loop_
_atom_site_label
_atom_site_type_symbol
_atom_site_fract_x
_atom_site_fract_y
_atom_site_fract_z
Cs1 Cs 0.134 0.000 0.082
Co1 Co 0.010 0.500 0.353
Ir1 Ir 0.175 0.000 0.624
S1 S 0.019 0.000 0.661
S2 S 0.150 0.500 0.767
S3 S 0.164 0.500 0.453
```

***

# 2
Structure and simulated X-ray powder pattern of CsRb3In8 (a PBE-relaxed structure; a wavelength of 1.5418 Å).
Lines closer than 0.1° are merged.

Most intense lines, 15 to 90 degrees two-theta, in order of rising 2θ:
(1 1 0), 26.2°, rel. 22; (0 1 3), 29.8°, rel. 52; (1 1 2), 31.4°, rel. 100; (2 0 1), 31.5°, rel. 94; (0 0 4), 34.3°, rel. 21; (0 2 2), 35.0°, rel. 26; (1 2 3), 48.5°, rel. 28; (3 0 2), 49.6°, rel. 27; (0 2 5), 53.8°, rel. 32; (2 2 0), 53.9°, rel. 33

```
data_CsRb3In8
_chemical_formula_sum 'Cs1 Rb3 In8'
_cell_length_a 6.8069
_cell_length_b 6.8069
_cell_length_c 10.4503
_cell_angle_alpha 90.00
_cell_angle_beta 90.00
_cell_angle_gamma 120.00
_symmetry_space_group_name_H-M 'P 3 m 1'
_symmetry_Int_Tables_number 156
loop_
_symmetry_equiv_pos_as_xyz
'x,y,z'
'-y,x-y,z'
'-x+y,-x,z'
'-y,-x,z'
'-x+y,y,z'
'x,x-y,z'
loop_
_atom_site_label
_atom_site_type_symbol
_atom_site_fract_x
_atom_site_fract_y
_atom_site_fract_z
Cs1 Cs 0.0000 0.0000 0.0000
Rb1 Rb 0.0000 0.0000 0.3818
Rb2 Rb 0.6667 0.3333 0.5049
Rb3 Rb 0.6667 0.3333 0.8803
In1 In 0.0000 0.5000 0.1942
In2 In 0.1713 0.3426 0.6890
In3 In 0.3333 0.6667 0.4366
In4 In 0.3333 0.6667 0.9472
```

***

# 3
Structure and simulated X-ray powder pattern of Nd2Sn3Ir (a PBE-relaxed structure; a wavelength of 1.5418 Å).
Lines closer than 0.1° are merged.

Most intense lines, 15 to 90 degrees two-theta, in order of rising 2θ:
(1 1 1), 30.1°, rel. 33; (3 1 -1), 30.7°, rel. 46; (1 1 -2), 31.9°, rel. 88; (4 0 -2), 32.2°, rel. 24; (3 1 -2), 32.5°, rel. 44; (3 1 0), 36.4°, rel. 75; (0 2 0), 38.0°, rel. 100; (0 0 3), 47.3°, rel. 19; (4 2 -3), 54.8°, rel. 26; (7 1 -3), 60.9°, rel. 28

```
data_Nd2Sn3Ir
_chemical_formula_sum 'Nd4 Sn6 Ir2'
_cell_length_a 11.242
_cell_length_b 4.742
_cell_length_c 7.460
_cell_angle_alpha 90.00
_cell_angle_beta 129.43
_cell_angle_gamma 90.00
_symmetry_space_group_name_H-M 'C 1 m 1'
_symmetry_Int_Tables_number 8
loop_
_symmetry_equiv_pos_as_xyz
'x,y,z'
'x,-y,z'
'x+1/2,y+1/2,z'
'x+1/2,-y+1/2,z'
loop_
_atom_site_label
_atom_site_type_symbol
_atom_site_fract_x
_atom_site_fract_y
_atom_site_fract_z
Nd1 Nd 0.000 0.000 0.000
Nd2 Nd 0.123 0.000 0.609
Sn1 Sn 0.232 0.500 0.388
Sn2 Sn 0.379 0.000 0.191
Sn3 Sn 0.448 0.000 0.669
Ir1 Ir 0.245 0.500 0.032
```

***

# 4
Structure and simulated X-ray powder pattern of PmTlSiS4 (a PBE-relaxed structure; a wavelength of 1.5418 Å).
Lines closer than 0.1° are merged.

Most intense lines, 15 to 90 degrees two-theta, in order of rising 2θ:
(1 1 0), 19.6°, rel. 100; (0 1 2), 25.1°, rel. 33; (1 1 -2), 25.6°, rel. 30; (0 2 0), 27.1°, rel. 43; (2 0 -2), 30.2°, rel. 28; (1 1 2), 31.9°, rel. 36; (2 1 -2), 33.2°, rel. 32; (1 2 -2), 35.0°, rel. 29; (2 2 0), 39.8°, rel. 36; (1 0 -4), 41.0°, rel. 29

```
data_PmTlSiS4
_chemical_formula_sum 'Pm2 Tl2 Si2 S8'
_cell_length_a 6.544
_cell_length_b 6.576
_cell_length_c 8.819
_cell_angle_alpha 90.00
_cell_angle_beta 107.01
_cell_angle_gamma 90.00
_symmetry_space_group_name_H-M 'P 1 21/m 1'
_symmetry_Int_Tables_number 11
loop_
_symmetry_equiv_pos_as_xyz
'x,y,z'
'-x,-y,-z'
'-x,y+1/2,-z'
'x,-y+1/2,z'
loop_
_atom_site_label
_atom_site_type_symbol
_atom_site_fract_x
_atom_site_fract_y
_atom_site_fract_z
Pm1 Pm 0.232 0.250 0.053
Tl1 Tl 0.265 0.250 0.570
Si1 Si 0.220 0.750 0.823
S1 S 0.005 0.002 0.785
S2 S 0.406 0.750 0.066
S3 S 0.414 0.750 0.669
```

***

# 5
Structure and simulated X-ray powder pattern of AcBr5 (a PBE-relaxed structure; a wavelength of 1.5418 Å).
Lines closer than 0.1° are merged.

Most intense lines, 15 to 90 degrees two-theta, in order of rising 2θ:
(0 0 2), 16.3°, rel. 47; (0 1 1), 16.7°, rel. 100; (1 0 1), 21.9°, rel. 33; (1 0 -2), 22.4°, rel. 25; (0 2 0), 29.4°, rel. 37; (1 1 2), 31.1°, rel. 24; (1 1 -3), 31.7°, rel. 21; (2 0 -1), 37.3°, rel. 35; (1 2 -3), 41.0°, rel. 22; (1 2 3), 45.6°, rel. 25

```
data_AcBr5
_chemical_formula_sum 'Ac1 Br5'
_cell_length_a 4.827
_cell_length_b 6.076
_cell_length_c 11.059
_cell_angle_alpha 90.00
_cell_angle_beta 101.34
_cell_angle_gamma 90.00
_symmetry_space_group_name_H-M 'P 1 m 1'
_symmetry_Int_Tables_number 6
loop_
_symmetry_equiv_pos_as_xyz
'x,y,z'
'x,-y,z'
loop_
_atom_site_label
_atom_site_type_symbol
_atom_site_fract_x
_atom_site_fract_y
_atom_site_fract_z
Ac1 Ac 0.000 0.000 0.000
Br1 Br 0.256 0.500 0.536
Br2 Br 0.420 0.000 0.823
Br3 Br 0.580 0.000 0.177
Br4 Br 0.698 0.500 0.464
Br5 Br 0.999 0.500 0.000
```

***

# 6
Structure and simulated X-ray powder pattern of Ho4CdAg2Pd (a PBE-relaxed structure; a wavelength of 1.5418 Å).
Lines closer than 0.1° are merged.

Most intense lines, 15 to 90 degrees two-theta, in order of rising 2θ:
(1 0 4), 24.7°, rel. 4; (1 1 0), 35.1°, rel. 100; (2 0 8), 50.6°, rel. 17; (3 0 0), 63.0°, rel. 27; (1 0 16), 63.2°, rel. 7; (1 1 15), 67.1°, rel. 3; (2 2 0), 74.2°, rel. 6; (0 2 16), 74.4°, rel. 4; (3 1 8), 84.9°, rel. 8; (2 1 16), 85.0°, rel. 6

```
data_Ho4CdAg2Pd
_chemical_formula_sum 'Ho12 Cd3 Ag6 Pd3'
_cell_length_a 5.1112
_cell_length_b 5.1112
_cell_length_c 24.9738
_cell_angle_alpha 90.00
_cell_angle_beta 90.00
_cell_angle_gamma 120.00
_symmetry_space_group_name_H-M 'R -3 m'
_symmetry_Int_Tables_number 166
_symmetry_space_group_name_Hall '-R 3 2"'
loop_
_atom_site_label
_atom_site_type_symbol
_atom_site_fract_x
_atom_site_fract_y
_atom_site_fract_z
Ho1 Ho 0.0000 0.0000 0.1187
Ho2 Ho 0.0000 0.0000 0.3702
Cd1 Cd 0.0000 0.0000 0.5000
Ag1 Ag 0.0000 0.0000 0.2438
Pd1 Pd 0.0000 0.0000 0.0000
```

***

# 7
Structure and simulated X-ray powder pattern of LaPm2Sm3P6 (a PBE-relaxed structure; a wavelength of 1.5418 Å).
Lines closer than 0.1° are merged.

Most intense lines, 15 to 90 degrees two-theta, in order of rising 2θ:
(2 0 0), 26.3°, rel. 80; (1 3 1), 30.5°, rel. 100; (2 0 2), 43.7°, rel. 73; (3 3 1), 51.7°, rel. 40; (4 0 0), 54.2°, rel. 26; (2 6 2), 63.5°, rel. 12; (4 0 2), 70.0°, rel. 16; (4 6 0), 72.1°, rel. 33; (5 3 1), 80.2°, rel. 25; (6 0 0), 86.2°, rel. 12

```
data_LaPm2Sm3P6
_chemical_formula_sum 'La2 Pm4 Sm6 P12'
_cell_length_a 7.179
_cell_length_b 12.433
_cell_length_c 7.177
_cell_angle_alpha 90.00
_cell_angle_beta 109.46
_cell_angle_gamma 90.00
_symmetry_space_group_name_H-M 'C 1 2/m 1'
_symmetry_Int_Tables_number 12
loop_
_symmetry_equiv_pos_as_xyz
'x,y,z'
'-x,-y,-z'
'-x,y,-z'
'x,-y,z'
'x+1/2,y+1/2,z'
'-x+1/2,-y+1/2,-z'
'-x+1/2,y+1/2,-z'
'x+1/2,-y+1/2,z'
loop_
_atom_site_label
_atom_site_type_symbol
_atom_site_fract_x
_atom_site_fract_y
_atom_site_fract_z
La1 La 0.000 0.000 0.000
Pm1 Pm 0.000 0.333 0.000
Sm1 Sm 0.000 0.166 0.500
Sm2 Sm 0.000 0.500 0.500
P1 P 0.247 0.332 0.746
P2 P 0.248 0.500 0.253
```

***

# 8
Structure and simulated X-ray powder pattern of Th3Sb2Te3 (a PBE-relaxed structure; a wavelength of 1.5418 Å).
Lines closer than 0.1° are merged.

Most intense lines, 15 to 90 degrees two-theta, in order of rising 2θ:
(0 1 3), 21.1°, rel. 11; (0 0 8), 31.2°, rel. 21; (1 1 4), 32.5°, rel. 100; (0 2 0), 35.6°, rel. 20; (2 0 0), 45.2°, rel. 11; (0 2 8), 48.0°, rel. 13; (1 1 12), 56.3°, rel. 10; (2 2 0), 58.8°, rel. 10; (1 3 4), 62.0°, rel. 16; (0 4 0), 75.3°, rel. 11

```
data_Th3Sb2Te3
_chemical_formula_sum 'Th6 Sb4 Te6'
_cell_length_a 4.013
_cell_length_b 5.046
_cell_length_c 22.962
_cell_angle_alpha 90.00
_cell_angle_beta 90.00
_cell_angle_gamma 90.00
_symmetry_space_group_name_H-M 'I m m m'
_symmetry_Int_Tables_number 71
_symmetry_space_group_name_Hall '-I 2 2'
loop_
_atom_site_label
_atom_site_type_symbol
_atom_site_fract_x
_atom_site_fract_y
_atom_site_fract_z
Th1 Th 0.000 0.000 0.000
Th2 Th 0.000 0.500 0.141
Sb1 Sb 0.000 0.000 0.247
Te1 Te 0.000 0.000 0.500
Te2 Te 0.000 0.500 0.389
```